Diffraction record for K2AlTlBr6. The X-ray diffraction stick pattern is calculated, not measured: it uses a DFT-relaxed cell (GGA-PBE, the Materials Project) and Cu Ka.
Intensities are scaled so that the largest is 100.

Peak list (10 most intense, 2θ = 5–70°, in order of rising 2θ)
- 2θ = 15.61°, rel. 93, (2 0 0)
- 2θ = 22.15°, rel. 22, (2 2 0)
- 2θ = 26.04°, rel. 43, (3 1 1)
- 2θ = 27.22°, rel. 35, (2 2 2)
- 2θ = 31.53°, rel. 100, (4 0 0)
- 2θ = 34.44°, rel. 51, (3 3 1)
- 2θ = 35.37°, rel. 40, (4 2 0)
- 2θ = 45.19°, rel. 65, (4 4 0)
- 2θ = 48.10°, rel. 21, (6 0 0)
- 2θ = 62.90°, rel. 27, (7 3 1)

Cell and atoms:
```
data_K2AlTlBr6
_chemical_formula_sum 'K8 Al4 Tl4 Br24'
_cell_length_a 11.3501
_cell_length_b 11.3501
_cell_length_c 11.3501
_cell_angle_alpha 90.00
_cell_angle_beta 90.00
_cell_angle_gamma 90.00
_symmetry_space_group_name_H-M 'F m -3 m'
_symmetry_Int_Tables_number 225
_symmetry_space_group_name_Hall '-F 4 2 3'
loop_
_atom_site_label
_atom_site_type_symbol
_atom_site_fract_x
_atom_site_fract_y
_atom_site_fract_z
_atom_site_occupancy
K1 K 0.2500 0.2500 0.2500 1
Al1 Al 0.0000 0.0000 0.0000 1
Tl1 Tl 0.0000 0.0000 0.5000 1
Br1 Br 0.0000 0.0000 0.2226 1
```